# La3CdIr
Theoretical powder X-ray diffraction pattern, copper Kα. Input: the GGA-PBE geometry in Alexandria.

Largest 8 diffraction maxima, sorted by position, 2θ = 10–80°:
| d/Å | 2theta | I (rel.) |
| --- | --- | --- |
| 2.892 | 30.9 | 100 |
| 2.717 | 33.0 | 45 |
| 2.557 | 35.1 | 17 |
| 2.521 | 35.6 | 44 |
| 2.344 | 38.4 | 15 |
| 2.273 | 39.6 | 15 |
| 2.222 | 40.6 | 17 |
| 1.517 | 61.1 | 15 |

Structural model:
Lattice parameters (Å, degrees): 6.130 6.130 10.200 91.50 91.50 48.57
Element x y z (fractional)
La (0.064, 0.064, 0.131)
La (0.260, 0.260, 0.844)
La (0.419, 0.419, 0.347)
La (0.581, 0.581, 0.653)
La (0.740, 0.740, 0.156)
La (0.936, 0.936, 0.869)
Cd (0.142, 0.142, 0.448)
Cd (0.858, 0.858, 0.552)
Ir (0.398, 0.398, 0.083)
Ir (0.602, 0.602, 0.917)